Nd3Ho4Se8: computed powder diffraction line list (copper Kα), based on a PBE-relaxed structure.
Lines closer than 0.1° are merged.

abc: 11.6724 11.6795 8.2328
angles: 90.00 134.78 90.00
Space group C2/m (No. 12)
Asymmetric unit:
Nd 0.0000 0.0000 0.0000 (multiplicity 2)
Nd 0.2500 0.2500 0.0000 (multiplicity 4)
Ho 0.0000 0.5000 0.0000 (multiplicity 2)
Ho 0.0000 0.5000 0.5000 (multiplicity 2)
Ho 0.2500 0.2500 0.5000 (multiplicity 4)
Se 0.0000 0.2509 0.5000 (multiplicity 4)
Se 0.0000 0.2550 0.0000 (multiplicity 4)
Se 0.2435 0.5000 0.9971 (multiplicity 4)
Se 0.2448 0.5000 0.4903 (multiplicity 4)

Largest 10 diffraction maxima, low angle first, 2θ = 15–90°:
2θ 30.6, d 2.920, intensity 100
2θ 43.7, d 2.071, intensity 12
2θ 43.8, d 2.065, intensity 49
2θ 44.0, d 2.058, intensity 12
2θ 54.3, d 1.689, intensity 13
2θ 54.6, d 1.682, intensity 13
2θ 63.7, d 1.460, intensity 12
2θ 72.4, d 1.306, intensity 22
2θ 80.4, d 1.195, intensity 8
2θ 80.7, d 1.190, intensity 8